(1)
# LaPmSm2Sc
Theoretical powder X-ray diffraction pattern, Cu Ka. Input: the GGA-PBE geometry in Alexandria.
Intensities are scaled so that the largest is 1000.

Unit cell a=7.959 b=5.103 c=8.012 alpha=90.00 beta=90.75 gamma=90.00
Atoms (fractional coordinates):
La (0.243, 0.250, 0.239)
La (0.757, 0.750, 0.761)
Pm (0.444, 0.250, 0.652)
Pm (0.556, 0.750, 0.348)
Sm (0.147, 0.750, 0.545)
Sm (0.339, 0.750, 0.948)
Sm (0.661, 0.250, 0.052)
Sm (0.853, 0.250, 0.455)
Sc (0.049, 0.250, 0.850)
Sc (0.951, 0.750, 0.150)

Principal peaks in the range 15 to 90 degrees two-theta, by intensity:
two_theta, d (Å), I (rel.)
30.5, 2.932, 1000
30.6, 2.919, 968
51.0, 1.790, 339
35.2, 2.551, 336
35.3, 2.542, 330
35.8, 2.508, 312

---

(2)
# La6Pm2SmSc
Theoretical powder X-ray diffraction pattern, Cu Ka. Input: the GGA-PBE geometry in Alexandria.
Intensities are scaled so that the largest is 1000.

Unit cell a=6.704 b=6.704 c=9.294 alpha=105.86 beta=105.86 gamma=61.88
Atoms (fractional coordinates):
La (0.065, 0.532, 0.189)
La (0.128, 0.128, 0.418)
La (0.468, 0.935, 0.811)
La (0.532, 0.065, 0.189)
La (0.872, 0.872, 0.582)
La (0.935, 0.468, 0.811)
Pm (0.430, 0.430, 0.831)
Pm (0.570, 0.570, 0.169)
Sm (0.500, 0.500, 0.500)
Sc (0.000, 0.000, 0.000)

Principal peaks in the range 15 to 90 degrees two-theta, by intensity:
two_theta, d (Å), I (rel.)
30.7, 2.916, 1000
29.4, 3.036, 346
30.4, 2.936, 331
31.7, 2.823, 309
31.1, 2.875, 306
27.8, 3.212, 278

---

(3)
# LaPm5Sm2Sc
Theoretical powder X-ray diffraction pattern, Cu Ka. Input: the GGA-PBE geometry in Alexandria.
Intensities are scaled so that the largest is 1000.

Unit cell a=10.459 b=10.459 c=10.570 alpha=90.00 beta=90.00 gamma=148.35
Atoms (fractional coordinates):
La (0.088, 0.912, 0.500)
La (0.912, 0.088, 0.000)
Pm (0.015, 0.985, 0.783)
Pm (0.126, 0.874, 0.058)
Pm (0.205, 0.795, 0.745)
Pm (0.223, 0.777, 0.362)
Pm (0.483, 0.517, 0.059)
Pm (0.517, 0.483, 0.559)
Pm (0.777, 0.223, 0.862)
Pm (0.795, 0.205, 0.245)
Pm (0.874, 0.126, 0.558)
Pm (0.985, 0.015, 0.283)
Sm (0.384, 0.616, 0.774)
Sm (0.387, 0.613, 0.353)
Sm (0.613, 0.387, 0.853)
Sm (0.616, 0.384, 0.274)
Sc (0.303, 0.697, 0.053)
Sc (0.697, 0.303, 0.553)

Principal peaks in the range 15 to 90 degrees two-theta, by intensity:
two_theta, d (Å), I (rel.)
32.1, 2.792, 1000
31.4, 2.852, 458
30.1, 2.965, 382
26.6, 3.357, 249
56.3, 1.635, 202
27.9, 3.197, 167

---

(4)
# LaTbPm2Sc
Theoretical powder X-ray diffraction pattern, Cu Ka. Input: the GGA-PBE geometry in Alexandria.
Intensities are scaled so that the largest is 1000.

Unit cell a=7.956 b=5.075 c=7.990 alpha=90.00 beta=90.87 gamma=90.00
Atoms (fractional coordinates):
La (0.244, 0.250, 0.241)
La (0.756, 0.750, 0.759)
Tb (0.444, 0.250, 0.652)
Tb (0.556, 0.750, 0.348)
Pm (0.149, 0.750, 0.546)
Pm (0.339, 0.750, 0.948)
Pm (0.661, 0.250, 0.052)
Pm (0.851, 0.250, 0.454)
Sc (0.050, 0.250, 0.850)
Sc (0.950, 0.750, 0.150)

Principal peaks in the range 15 to 90 degrees two-theta, by intensity:
two_theta, d (Å), I (rel.)
30.5, 2.927, 1000
30.7, 2.908, 969
35.4, 2.537, 665
50.9, 1.793, 350
35.8, 2.505, 316
51.2, 1.783, 229

---

(5)
# LaPmY3Sc
Theoretical powder X-ray diffraction pattern, Cu Ka. Input: the GGA-PBE geometry in Alexandria.
Intensities are scaled so that the largest is 1000.

Unit cell a=7.977 b=7.977 c=10.107 alpha=90.00 beta=90.00 gamma=143.21
Atoms (fractional coordinates):
La (0.003, 0.997, 0.750)
La (0.997, 0.003, 0.250)
Pm (0.500, 0.500, 0.000)
Pm (0.500, 0.500, 0.500)
Y (0.169, 0.831, 0.501)
Y (0.169, 0.831, 0.999)
Y (0.329, 0.671, 0.750)
Y (0.671, 0.329, 0.250)
Y (0.831, 0.169, 0.001)
Y (0.831, 0.169, 0.499)
Sc (0.331, 0.669, 0.250)
Sc (0.669, 0.331, 0.750)

Principal peaks in the range 15 to 90 degrees two-theta, by intensity:
two_theta, d (Å), I (rel.)
30.7, 2.913, 1000
35.6, 2.525, 334
60.9, 1.522, 270
51.2, 1.784, 232
35.7, 2.517, 170
61.0, 1.519, 135

---

(6)
# La2Pm5YSc
Theoretical powder X-ray diffraction pattern, Cu Ka. Input: the GGA-PBE geometry in Alexandria.
Intensities are scaled so that the largest is 1000.

Unit cell a=11.412 b=11.412 c=10.165 alpha=90.00 beta=90.00 gamma=152.22
Atoms (fractional coordinates):
La (0.117, 0.883, 0.507)
La (0.117, 0.883, 0.993)
La (0.883, 0.117, 0.007)
La (0.883, 0.117, 0.493)
Pm (0.000, 0.000, 0.250)
Pm (0.000, 0.000, 0.750)
Pm (0.276, 0.724, 0.563)
Pm (0.276, 0.724, 0.937)
Pm (0.373, 0.627, 0.250)
Pm (0.500, 0.500, 0.000)
Pm (0.500, 0.500, 0.500)
Pm (0.627, 0.373, 0.750)
Pm (0.724, 0.276, 0.063)
Pm (0.724, 0.276, 0.437)
Y (0.397, 0.603, 0.750)
Y (0.603, 0.397, 0.250)
Sc (0.214, 0.786, 0.250)
Sc (0.786, 0.214, 0.750)

Principal peaks in the range 15 to 90 degrees two-theta, by intensity:
two_theta, d (Å), I (rel.)
31.4, 2.853, 1000
26.8, 3.327, 342
32.7, 2.740, 327
57.5, 1.603, 176
32.3, 2.770, 151
35.3, 2.541, 132

---

(7)
# LaPm3Se4
Theoretical powder X-ray diffraction pattern, Cu Ka. Input: the GGA-PBE geometry in Alexandria.
Intensities are scaled so that the largest is 1000.

Unit cell a=4.193 b=4.193 c=28.097 alpha=90.00 beta=90.00 gamma=120.00
Atoms (fractional coordinates):
La (0.333, 0.667, 0.250)
La (0.667, 0.333, 0.750)
Pm (0.000, 0.000, 0.000)
Pm (0.000, 0.000, 0.500)
Pm (0.333, 0.667, 0.622)
Pm (0.333, 0.667, 0.878)
Pm (0.667, 0.333, 0.122)
Pm (0.667, 0.333, 0.378)
Se (0.000, 0.000, 0.183)
Se (0.000, 0.000, 0.317)
Se (0.000, 0.000, 0.683)
Se (0.000, 0.000, 0.817)
Se (0.333, 0.667, 0.061)
Se (0.333, 0.667, 0.439)
Se (0.667, 0.333, 0.561)
Se (0.667, 0.333, 0.939)

Principal peaks in the range 15 to 90 degrees two-theta, by intensity:
two_theta, d (Å), I (rel.)
29.3, 3.050, 1000
31.2, 2.869, 849
43.2, 2.096, 817
69.9, 1.346, 410
43.3, 2.089, 409
27.7, 3.225, 289

---

(8)
# La2PmSe3
Theoretical powder X-ray diffraction pattern, Cu Ka. Input: the GGA-PBE geometry in Alexandria.
Intensities are scaled so that the largest is 1000.

Unit cell a=14.098 b=13.443 c=7.419 alpha=79.31 beta=69.55 gamma=31.14
Atoms (fractional coordinates):
La (0.042, 0.042, 0.208)
La (0.124, 0.124, 0.626)
La (0.208, 0.208, 0.042)
La (0.374, 0.374, 0.876)
La (0.626, 0.626, 0.124)
La (0.792, 0.792, 0.958)
La (0.876, 0.876, 0.374)
La (0.958, 0.958, 0.792)
Pm (0.292, 0.292, 0.458)
Pm (0.458, 0.458, 0.292)
Pm (0.542, 0.542, 0.708)
Pm (0.708, 0.708, 0.542)
Se (0.040, 0.541, 0.215)
Se (0.131, 0.619, 0.619)
Se (0.215, 0.704, 0.040)
Se (0.296, 0.785, 0.459)
Se (0.381, 0.869, 0.869)
Se (0.459, 0.960, 0.296)
Se (0.541, 0.040, 0.704)
Se (0.619, 0.131, 0.131)
Se (0.704, 0.215, 0.541)
Se (0.785, 0.296, 0.960)
Se (0.869, 0.381, 0.381)
Se (0.960, 0.459, 0.785)

Principal peaks in the range 15 to 90 degrees two-theta, by intensity:
two_theta, d (Å), I (rel.)
29.6, 3.022, 1000
42.3, 2.137, 499
69.6, 1.352, 225
52.2, 1.752, 134
52.7, 1.737, 131
42.0, 2.151, 127

---

> Number 8 is which compound?

La2PmSe3